1.
Diffraction record for CaO. The powder diffraction line list is theoretical, not measured: it uses a GGA-PBE-relaxed structure and Cu Kα X-rays.
No peak broadening, texture or thermal motion is included.

Largest 8 diffraction maxima, in order of falling intensity, 15° ≤ 2θ ≤ 90°:
31.14°, I = 100.0; 19.03°, I = 78.1; 54.37°, I = 65.0; 30.31°, I = 59.5; 24.42°, I = 28.2; 43.39°, I = 23.9; 45.83°, I = 20.7; 41.71°, I = 20.0

Structural model:
abc: 9.3255 9.3255 3.9601
angles: 90.00 90.00 90.00
Positions (direct):
Ca 0.1185 0.2946 0.0000
Ca 0.2054 0.6185 0.5000
Ca 0.2946 0.8815 0.0000
Ca 0.3815 0.2054 0.5000
Ca 0.6185 0.7946 0.5000
Ca 0.7054 0.1185 0.0000
Ca 0.7946 0.3815 0.5000
Ca 0.8815 0.7054 0.0000
O 0.1217 0.7052 0.0000
O 0.2052 0.3783 0.5000
O 0.2948 0.1217 0.0000
O 0.3783 0.7948 0.5000
O 0.6217 0.2052 0.5000
O 0.7052 0.8783 0.0000
O 0.7948 0.6217 0.5000
O 0.8783 0.2948 0.0000

***

2.
Diffraction record for LaPuBrN2. The powder diffraction line list is theoretical, not measured: it uses a GGA-PBE-relaxed structure and Cu Kα X-rays.
No peak broadening, texture or thermal motion is included.

Largest 8 diffraction maxima, in order of falling intensity, 15° ≤ 2θ ≤ 90°:
24.97°, I = 100.0; 28.78°, I = 84.3; 33.69°, I = 77.2; 30.57°, I = 75.7; 31.53°, I = 72.1; 32.09°, I = 53.4; 25.78°, I = 35.4; 52.99°, I = 34.3

Structural model:
abc: 7.3224 4.1614 7.9561
angles: 90.00 109.14 90.00
Positions (direct):
La 0.1687 0.2500 0.4288
La 0.8313 0.7500 0.5712
Pu 0.1445 0.2500 0.9211
Pu 0.8555 0.7500 0.0789
Br 0.4710 0.7500 0.7398
Br 0.5290 0.2500 0.2602
N 0.0033 0.7500 0.3598
N 0.0339 0.7500 0.9028
N 0.9661 0.2500 0.0972
N 0.9967 0.2500 0.6402

***

3.
Diffraction record for Hf3Zr4. The powder diffraction line list is theoretical, not measured: it uses a GGA-PBE-relaxed structure and Cu Kα X-rays.
No peak broadening, texture or thermal motion is included.

Largest 8 diffraction maxima, in order of falling intensity, 15° ≤ 2θ ≤ 90°:
34.41°, I = 100.0; 34.52°, I = 99.2; 39.81°, I = 33.7; 57.87°, I = 33.3; 39.97°, I = 33.1; 40.24°, I = 32.5; 68.95°, I = 26.1; 58.01°, I = 22.1

Structural model:
abc: 10.1381 4.4824 7.1264
angles: 90.00 98.16 90.00
Positions (direct):
Hf 0.0000 0.0000 0.0000
Hf 0.0699 0.5000 0.7147
Hf 0.4301 0.0000 0.2853
Hf 0.5000 0.5000 0.0000
Hf 0.5699 0.0000 0.7147
Hf 0.9301 0.5000 0.2853
Zr 0.1406 0.0000 0.4271
Zr 0.2136 0.5000 0.1410
Zr 0.2864 0.0000 0.8590
Zr 0.3594 0.5000 0.5729
Zr 0.6406 0.5000 0.4271
Zr 0.7136 0.0000 0.1410
Zr 0.7864 0.5000 0.8590
Zr 0.8594 0.0000 0.5729